Entry 1:
CrCd6Pd12: computed X-ray diffraction stick pattern (Cu Kα (λ = 1.5418 Å)), based on a GGA-PBE-relaxed structure.
Lines closer than 0.1° are merged.

Principal peaks in the range 2θ from 10° to 80°, by angle:
| Position (°2θ) | d_spacing | I_rel |
| --- | --- | --- |
| 29.51 | 3.027 | 18.2 |
| 33.04 | 2.711 | 13.4 |
| 38.35 | 2.347 | 98.1 |
| 39.20 | 2.298 | 33.3 |
| 40.83 | 2.210 | 100.0 |
| 42.02 | 2.150 | 38.6 |
| 43.34 | 2.088 | 16.5 |
| 48.62 | 1.873 | 11.5 |
| 69.72 | 1.349 | 13.1 |
| 72.65 | 1.301 | 20.1 |

a b c (Å): 9.9859 9.9859 11.4188
angles (deg): 90.00 90.00 120.00
Space group R-3 (No. 148, hexagonal axes)
Asymmetric unit:
Cr 0.0000 0.0000 0.0000 x3
Cd 0.0185 0.5929 0.7164 x18
Pd 0.0455 0.8636 0.8218 x18
Pd 0.0553 0.1942 0.4023 x18

=====

Entry 2:
CrCdRe2: computed X-ray diffraction stick pattern (Cu Kα (λ = 1.5418 Å)), based on a GGA-PBE-relaxed structure.
Lines closer than 0.1° are merged.

Principal peaks in the range 2θ from 10° to 80°, by angle:
| Position (°2θ) | d_spacing | I_rel |
| --- | --- | --- |
| 31.60 | 2.832 | 15.0 |
| 33.73 | 2.657 | 16.0 |
| 35.02 | 2.563 | 15.3 |
| 39.53 | 2.280 | 100.0 |
| 45.29 | 2.002 | 41.1 |
| 58.50 | 1.578 | 14.2 |
| 65.98 | 1.416 | 13.2 |
| 67.56 | 1.387 | 10.3 |
| 69.58 | 1.351 | 14.2 |
| 79.72 | 1.203 | 25.3 |

a b c (Å): 2.832 2.832 7.688
angles (deg): 90.00 90.00 90.00
Space group P4/mmm (No. 123)
Asymmetric unit:
Cr 0.000 0.000 0.000 x1
Cd 0.000 0.000 0.500 x1
Re 0.500 0.500 0.208 x2

=====

Entry 3:
Cr2CdRu: computed X-ray diffraction stick pattern (Cu Kα (λ = 1.5418 Å)), based on a GGA-PBE-relaxed structure.
Lines closer than 0.1° are merged.

Principal peaks in the range 2θ from 10° to 80°, by angle:
| Position (°2θ) | d_spacing | I_rel |
| --- | --- | --- |
| 13.14 | 6.736 | 9.6 |
| 32.89 | 2.723 | 25.8 |
| 40.16 | 2.245 | 9.3 |
| 40.44 | 2.231 | 100.0 |
| 42.96 | 2.105 | 48.1 |
| 60.26 | 1.536 | 10.9 |
| 62.38 | 1.489 | 14.8 |
| 71.78 | 1.315 | 10.7 |
| 77.01 | 1.238 | 27.1 |
| 77.82 | 1.227 | 7.1 |

a b c (Å): 2.977 2.977 6.736
angles (deg): 90.00 90.00 90.00
Space group P4mm (No. 99)
Asymmetric unit:
Cr 0.000 0.000 0.000 x1
Cr 0.500 0.500 0.200 x1
Cd 0.500 0.500 0.706 x1
Ru 0.000 0.000 0.411 x1

=====

Entry 4:
Cr2CdSe3S: computed X-ray diffraction stick pattern (Cu Kα (λ = 1.5418 Å)), based on a GGA-PBE-relaxed structure.
Lines closer than 0.1° are merged.

Principal peaks in the range 2θ from 10° to 80°, by angle:
| Position (°2θ) | d_spacing | I_rel |
| --- | --- | --- |
| 23.45 | 3.793 | 69.0 |
| 27.59 | 3.233 | 89.0 |
| 28.85 | 3.095 | 38.3 |
| 33.42 | 2.681 | 53.0 |
| 36.50 | 2.462 | 20.4 |
| 41.22 | 2.190 | 15.4 |
| 43.84 | 2.065 | 49.8 |
| 43.91 | 2.062 | 26.4 |
| 47.96 | 1.897 | 100.0 |
| 48.10 | 1.892 | 20.5 |

a b c (Å): 7.566 7.596 10.730
angles (deg): 90.00 90.00 90.00
Space group Imm2 (No. 44)
Asymmetric unit:
Cr 0.000 0.249 0.000 x4
Cr 0.242 0.000 0.755 x4
Cd 0.000 0.000 0.374 x2
Cd 0.000 0.500 0.648 x2
Se 0.000 0.284 0.236 x4
Se 0.222 0.500 0.017 x4
Se 0.224 0.000 0.992 x4
S 0.000 0.213 0.774 x4

=====

What did the second record say?
CrCdRe2: computed X-ray diffraction stick pattern (Cu Kα (λ = 1.5418 Å)), based on a GGA-PBE-relaxed structure.
Lines closer than 0.1° are merged.

Principal peaks in the range 2θ from 10° to 80°, by angle:
| Position (°2θ) | d_spacing | I_rel |
| --- | --- | --- |
| 31.60 | 2.832 | 15.0 |
| 33.73 | 2.657 | 16.0 |
| 35.02 | 2.563 | 15.3 |
| 39.53 | 2.280 | 100.0 |
| 45.29 | 2.002 | 41.1 |
| 58.50 | 1.578 | 14.2 |
| 65.98 | 1.416 | 13.2 |
| 67.56 | 1.387 | 10.3 |
| 69.58 | 1.351 | 14.2 |
| 79.72 | 1.203 | 25.3 |

a b c (Å): 2.832 2.832 7.688
angles (deg): 90.00 90.00 90.00
Space group P4/mmm (No. 123)
Asymmetric unit:
Cr 0.000 0.000 0.000 x1
Cd 0.000 0.000 0.500 x1
Re 0.500 0.500 0.208 x2